1.
For Rb2H6Pt, a crystal structure in the Materials Project, relaxed with PBE gives the computed powder XRD pattern in this record (Cu Kα (λ = 1.5418 Å)).
No peak broadening, texture or thermal motion is included.

Principal peaks in the range 10 to 90 degrees two-theta, in order of rising 2θ:
2θ 17.87, I 63
2θ 29.38, I 100
2θ 34.60, I 36
2θ 42.03, I 20
2θ 46.01, I 16
2θ 52.11, I 40
2θ 55.54, I 13
2θ 60.96, I 13
2θ 69.09, I 18
2θ 84.28, I 21

Crystal structure
```
Rb2H6Pt
1.0
0.0000 4.2991 4.2991
4.2991 0.0000 4.2991
4.2991 4.2991 0.0000
Rb H Pt
2 6 1
Direct
0.2500 0.2500 0.2500
0.7500 0.7500 0.7500
0.1927 0.1927 0.8073
0.1927 0.8073 0.1927
0.1927 0.8073 0.8073
0.8073 0.1927 0.1927
0.8073 0.1927 0.8073
0.8073 0.8073 0.1927
0.0000 0.0000 0.0000
```

2.
For Rb3H5Pt, a crystal structure in the Materials Project, relaxed with PBE gives the computed powder XRD pattern in this record (Cu Kα (λ = 1.5418 Å)).
No peak broadening, texture or thermal motion is included.

Principal peaks in the range 10 to 90 degrees two-theta, in order of rising 2θ:
2θ 15.96, I 20
2θ 22.65, I 13
2θ 27.09, I 100
2θ 29.42, I 15
2θ 29.60, I 26
2θ 32.24, I 26
2θ 39.23, I 14
2θ 44.33, I 22
2θ 51.00, I 17
2θ 54.42, I 13

Crystal structure
```
Rb3H5Pt
1.0
7.8528 0.0000 0.0000
0.0000 7.8528 0.0000
0.0000 0.0000 6.0362
Rb H Pt
6 10 2
Direct
0.0000 0.0000 0.0000
0.1836 0.3164 0.5000
0.3164 0.8164 0.5000
0.5000 0.5000 0.0000
0.6836 0.1836 0.5000
0.8164 0.6836 0.5000
0.0000 0.0000 0.5000
0.1079 0.6079 0.1917
0.1079 0.6079 0.8083
0.3921 0.1079 0.1917
0.3921 0.1079 0.8083
0.5000 0.5000 0.5000
0.6079 0.8921 0.1917
0.6079 0.8921 0.8083
0.8921 0.3921 0.1917
0.8921 0.3921 0.8083
0.0000 0.5000 0.0000
0.5000 0.0000 0.0000
```